This entry pairs a crystal structure of Mn2AlTlH with its calculated powder diffraction line list. Radiation: Cu Ka. Structure: the GGA-PBE geometry in Alexandria.
Intensities are scaled so that the largest is 100.

Peak list (12 most intense, 2θ from 10° to 90°, sorted by position)
hkl 1 0 0, 16.89 deg, rel. 100.0
hkl 1 1 0, 23.98 deg, rel. 19.3
hkl 0 0 1, 25.17 deg, rel. 54.0
hkl 1 0 1, 30.47 deg, rel. 83.6
hkl 2 0 0, 34.16 deg, rel. 71.1
hkl 2 1 0, 38.35 deg, rel. 27.1
hkl 2 0 1, 42.91 deg, rel. 52.1
hkl 2 1 1, 46.42 deg, rel. 53.3
hkl 2 2 0, 49.09 deg, rel. 25.1
hkl 2 2 1, 55.95 deg, rel. 23.5
hkl 2 0 2, 63.41 deg, rel. 22.8
hkl 3 2 1, 69.87 deg, rel. 16.1

Structure:
```
data_Mn2AlTlH
_cell_length_a 5.249
_cell_length_b 5.249
_cell_length_c 3.538
_cell_angle_alpha 90.00
_cell_angle_beta 90.00
_cell_angle_gamma 90.00
_symmetry_space_group_name_H-M 'P 4/m m m'
_symmetry_Int_Tables_number 123
_symmetry_space_group_name_Hall '-P 4 2'
loop_
_atom_site_label
_atom_site_fract_x
_atom_site_fract_y
_atom_site_fract_z
_atom_site_occupancy
Mn1 0.000 0.500 0.000 1
Al1 0.000 0.000 0.500 1
Tl1 0.500 0.500 0.000 1
H1 0.500 0.500 0.500 1
```

***

This entry pairs a crystal structure of ZnSn6 with its calculated powder diffraction line list. Radiation: Cu Ka. Structure: the GGA-PBE geometry in Alexandria.
Intensities are scaled so that the largest is 100.

Peak list (12 most intense, 2θ from 10° to 90°, sorted by position)
hkl 1 1 0, 15.37 deg, rel. 53.5
hkl 2 0 0, 21.81 deg, rel. 41.2
hkl 2 1 1, 26.79 deg, rel. 100.0
hkl 2 2 2, 38.25 deg, rel. 57.8
hkl 3 2 1, 41.45 deg, rel. 63.3
hkl 4 0 0, 44.46 deg, rel. 42.2
hkl 4 2 0, 50.04 deg, rel. 18.4
hkl 5 2 1, 62.40 deg, rel. 19.1
hkl 4 4 0, 64.69 deg, rel. 28.4
hkl 6 1 1, 71.33 deg, rel. 19.6
hkl 6 2 2, 77.71 deg, rel. 24.4
hkl 7 2 1, 88.05 deg, rel. 15.9

Structure:
```
data_ZnSn6
_cell_length_a 8.151
_cell_length_b 8.151
_cell_length_c 8.151
_cell_angle_alpha 90.00
_cell_angle_beta 90.00
_cell_angle_gamma 90.00
_symmetry_space_group_name_H-M 'I m -3 m'
_symmetry_Int_Tables_number 229
_symmetry_space_group_name_Hall '-I 4 2 3'
loop_
_atom_site_label
_atom_site_fract_x
_atom_site_fract_y
_atom_site_fract_z
_atom_site_occupancy
Zn1 0.000 0.000 0.000 1
Sn1 0.000 0.250 0.500 1
```

***

This entry pairs a crystal structure of Y3Zn2Pt3 with its calculated powder diffraction line list. Radiation: Cu Ka. Structure: the GGA-PBE geometry in Alexandria.
Intensities are scaled so that the largest is 100.

Peak list (12 most intense, 2θ from 10° to 90°, sorted by position)
hkl 1 0 0, 12.28 deg, rel. 29.6
hkl 1 1 0, 21.36 deg, rel. 41.7
hkl 1 1 1, 26.67 deg, rel. 45.6
hkl 0 0 2, 31.89 deg, rel. 45.6
hkl 2 1 1, 36.68 deg, rel. 100.0
hkl 3 0 0, 37.45 deg, rel. 94.1
hkl 1 1 2, 38.71 deg, rel. 89.3
hkl 3 1 1, 48.35 deg, rel. 51.8
hkl 3 0 2, 49.99 deg, rel. 30.5
hkl 2 1 3, 60.00 deg, rel. 23.9
hkl 4 2 1, 71.27 deg, rel. 29.9
hkl 3 0 4, 79.04 deg, rel. 21.0

Structure:
```
data_Y3Zn2Pt3
_cell_length_a 8.3198
_cell_length_b 8.3198
_cell_length_c 5.6120
_cell_angle_alpha 90.00
_cell_angle_beta 90.00
_cell_angle_gamma 120.00
_symmetry_space_group_name_H-M 'P 63/m c m'
_symmetry_Int_Tables_number 193
_symmetry_space_group_name_Hall '-P 6c 2'
loop_
_atom_site_label
_atom_site_fract_x
_atom_site_fract_y
_atom_site_fract_z
_atom_site_occupancy
Y1 0.0000 0.2769 0.2500 1
Zn1 0.3333 0.6667 0.0000 1
Pt1 0.0000 0.3859 0.7500 1
```

***

This entry pairs a crystal structure of Ti16C5N3 with its calculated powder diffraction line list. Radiation: Cu Ka. Structure: the GGA-PBE geometry in Alexandria.
Intensities are scaled so that the largest is 100.

Peak list (12 most intense, 2θ from 10° to 90°, sorted by position)
hkl 4 0 1, 35.51 deg, rel. 30.3
hkl 0 0 4, 36.41 deg, rel. 27.5
hkl 2 2 2, 38.98 deg, rel. 100.0
hkl 2 2 -3, 44.23 deg, rel. 24.8
hkl 2 2 -5, 58.53 deg, rel. 6.0
hkl 4 0 5, 58.65 deg, rel. 5.9
hkl 0 4 0, 61.40 deg, rel. 24.5
hkl 4 0 -6, 67.17 deg, rel. 7.9
hkl 2 2 6, 67.30 deg, rel. 8.2
hkl 0 4 4, 73.49 deg, rel. 11.8
hkl 6 2 4, 73.63 deg, rel. 6.0
hkl 4 4 2, 75.16 deg, rel. 7.7

Structure:
```
data_Ti16C5N3
_cell_length_a 10.460
_cell_length_b 6.041
_cell_length_c 9.870
_cell_angle_alpha 90.00
_cell_angle_beta 90.16
_cell_angle_gamma 90.00
_symmetry_space_group_name_H-M 'C 1 m 1'
_symmetry_Int_Tables_number 8
loop_
_symmetry_equiv_pos_as_xyz
'x,y,z'
'x,-y,z'
'x+1/2,y+1/2,z'
'x+1/2,-y+1/2,z'
loop_
_atom_site_label
_atom_site_fract_x
_atom_site_fract_y
_atom_site_fract_z
_atom_site_occupancy
Ti1 0.000 0.000 0.000 1
Ti2 0.000 0.000 0.498 1
Ti3 0.005 0.500 0.511 1
Ti4 0.081 0.243 0.764 1
Ti5 0.163 0.000 0.266 1
Ti6 0.164 0.500 0.273 1
Ti7 0.245 0.259 0.514 1
Ti8 0.251 0.240 0.013 1
Ti9 0.330 0.000 0.773 1
Ti10 0.337 0.500 0.760 1
Ti11 0.418 0.254 0.263 1
Ti12 0.492 0.000 0.015 1
C1 0.163 0.500 0.643 1
C2 0.330 0.000 0.144 1
C3 0.332 0.500 0.387 1
C4 0.415 0.249 0.887 1
N1 0.082 0.250 0.387 1
N2 0.165 0.000 0.887 1
```

***

This entry pairs a crystal structure of Ag3Pb2O6 with its calculated powder diffraction line list. Radiation: Cu Ka. Structure: the GGA-PBE geometry in Alexandria.
Intensities are scaled so that the largest is 100.

Peak list (12 most intense, 2θ from 10° to 90°, sorted by position)
hkl 2 0 0, 17.97 deg, rel. 72.5
hkl 1 1 1, 19.68 deg, rel. 19.9
hkl 0 0 4, 27.55 deg, rel. 60.8
hkl 3 1 0, 31.13 deg, rel. 63.8
hkl 3 1 -3, 33.32 deg, rel. 49.8
hkl 0 2 2, 33.46 deg, rel. 100.0
hkl 3 1 -7, 52.38 deg, rel. 16.8
hkl 0 2 6, 52.57 deg, rel. 16.9
hkl 3 1 5, 52.70 deg, rel. 16.5
hkl 3 3 -1, 53.90 deg, rel. 37.5
hkl 3 3 -5, 61.51 deg, rel. 16.5
hkl 3 3 3, 61.71 deg, rel. 18.4

Structure:
```
data_Ag3Pb2O6
_cell_length_a 10.217
_cell_length_b 5.887
_cell_length_c 13.416
_cell_angle_alpha 90.00
_cell_angle_beta 105.10
_cell_angle_gamma 90.00
_symmetry_space_group_name_H-M 'C 1 2/c 1'
_symmetry_Int_Tables_number 15
loop_
_symmetry_equiv_pos_as_xyz
'x,y,z'
'-x,-y,-z'
'-x,y,-z+1/2'
'x,-y,z+1/2'
'x+1/2,y+1/2,z'
'-x+1/2,-y+1/2,-z'
'-x+1/2,y+1/2,-z+1/2'
'x+1/2,-y+1/2,z+1/2'
loop_
_atom_site_label
_atom_site_fract_x
_atom_site_fract_y
_atom_site_fract_z
_atom_site_occupancy
Ag1 0.000 0.053 0.250 1
Ag2 0.151 0.403 0.750 1
Pb1 0.084 0.250 0.003 1
O1 0.029 0.058 0.407 1
O2 0.091 0.437 0.593 1
O3 0.217 0.372 0.907 1
```

***

This entry pairs a crystal structure of CdBiSe3 with its calculated powder diffraction line list. Radiation: Cu Ka. Structure: the GGA-PBE geometry in Alexandria.
Intensities are scaled so that the largest is 100.

Peak list (12 most intense, 2θ from 10° to 90°, sorted by position)
hkl 0 0 2, 19.49 deg, rel. 19.2
hkl 2 0 0, 26.43 deg, rel. 13.1
hkl 1 1 -2, 28.76 deg, rel. 100.0
hkl 2 0 1, 31.46 deg, rel. 41.6
hkl 1 1 -3, 34.99 deg, rel. 15.8
hkl 2 0 -4, 38.78 deg, rel. 11.6
hkl 1 1 3, 42.75 deg, rel. 37.6
hkl 1 1 -4, 42.86 deg, rel. 8.6
hkl 0 2 0, 43.37 deg, rel. 19.3
hkl 3 1 -1, 43.57 deg, rel. 39.2
hkl 2 2 1, 54.57 deg, rel. 25.1
hkl 1 3 3, 79.18 deg, rel. 13.5

Structure:
```
data_CdBiSe3
_cell_length_a 7.249
_cell_length_b 4.173
_cell_length_c 9.788
_cell_angle_alpha 90.00
_cell_angle_beta 111.44
_cell_angle_gamma 90.00
_symmetry_space_group_name_H-M 'P 1 21/m 1'
_symmetry_Int_Tables_number 11
loop_
_symmetry_equiv_pos_as_xyz
'x,y,z'
'-x,-y,-z'
'-x,y+1/2,-z'
'x,-y+1/2,z'
loop_
_atom_site_label
_atom_site_fract_x
_atom_site_fract_y
_atom_site_fract_z
_atom_site_occupancy
Cd1 0.173 0.250 0.203 1
Bi1 0.317 0.250 0.804 1
Se1 0.096 0.750 0.359 1
Se2 0.238 0.750 0.007 1
Se3 0.402 0.750 0.636 1
```

***

This entry pairs a crystal structure of BC2 with its calculated powder diffraction line list. Radiation: Cu Ka. Structure: the GGA-PBE geometry in Alexandria.
Intensities are scaled so that the largest is 100.

Peak list (12 most intense, 2θ from 10° to 90°, sorted by position)
hkl 1 1 0, 23.00 deg, rel. 7.2
hkl 1 1 -1, 26.70 deg, rel. 11.9
hkl 0 2 1, 30.78 deg, rel. 9.5
hkl 2 0 0, 40.92 deg, rel. 38.2
hkl 1 3 -1, 41.74 deg, rel. 100.0
hkl 0 0 2, 43.01 deg, rel. 37.4
hkl 3 3 -1, 70.28 deg, rel. 29.3
hkl 2 0 2, 70.95 deg, rel. 12.6
hkl 1 3 -3, 73.20 deg, rel. 22.1
hkl 3 3 1, 84.44 deg, rel. 9.1
hkl 1 3 3, 87.23 deg, rel. 7.5
hkl 2 0 -4, 89.92 deg, rel. 5.8

Structure:
```
data_BC2
_cell_length_a 4.644
_cell_length_b 8.035
_cell_length_c 4.429
_cell_angle_alpha 90.00
_cell_angle_beta 108.24
_cell_angle_gamma 90.00
_symmetry_space_group_name_H-M 'C 1 c 1'
_symmetry_Int_Tables_number 9
loop_
_symmetry_equiv_pos_as_xyz
'x,y,z'
'x,-y,z+1/2'
'x+1/2,y+1/2,z'
'x+1/2,-y+1/2,z+1/2'
loop_
_atom_site_label
_atom_site_fract_x
_atom_site_fract_y
_atom_site_fract_z
_atom_site_occupancy
B1 0.000 0.051 0.000 1
B2 0.318 0.222 0.648 1
C1 0.330 0.404 0.144 1
C2 0.360 0.079 0.140 1
C3 0.465 0.252 0.013 1
C4 0.483 0.081 0.507 1
```

***

This entry pairs a crystal structure of Sm7P5S with its calculated powder diffraction line list. Radiation: Cu Ka. Structure: the GGA-PBE geometry in Alexandria.
Intensities are scaled so that the largest is 100.

Peak list (12 most intense, 2θ from 10° to 90°, sorted by position)
hkl 1 1 3, 25.49 deg, rel. 28.7
hkl 4 0 1, 26.67 deg, rel. 35.4
hkl 1 1 -4, 27.36 deg, rel. 58.0
hkl 2 0 7, 29.22 deg, rel. 100.0
hkl 1 1 -5, 29.60 deg, rel. 23.9
hkl 3 1 2, 30.60 deg, rel. 72.6
hkl 3 1 -3, 31.74 deg, rel. 65.0
hkl 6 0 -5, 44.40 deg, rel. 35.2
hkl 5 1 5, 44.51 deg, rel. 37.8
hkl 0 2 0, 44.69 deg, rel. 29.1
hkl 6 0 -6, 46.33 deg, rel. 27.9
hkl 2 2 7, 54.29 deg, rel. 36.0

Structure:
```
data_Sm7P5S
_cell_length_a 13.500
_cell_length_b 4.056
_cell_length_c 23.992
_cell_angle_alpha 90.00
_cell_angle_beta 90.02
_cell_angle_gamma 90.00
_symmetry_space_group_name_H-M 'C 1 2/m 1'
_symmetry_Int_Tables_number 12
loop_
_symmetry_equiv_pos_as_xyz
'x,y,z'
'-x,-y,-z'
'-x,y,-z'
'x,-y,z'
'x+1/2,y+1/2,z'
'-x+1/2,-y+1/2,-z'
'-x+1/2,y+1/2,-z'
'x+1/2,-y+1/2,z'
loop_
_atom_site_label
_atom_site_fract_x
_atom_site_fract_y
_atom_site_fract_z
_atom_site_occupancy
Sm1 0.048 0.000 0.250 1
Sm2 0.086 0.500 0.396 1
Sm3 0.087 0.500 0.104 1
Sm4 0.138 0.000 0.536 1
Sm5 0.138 0.000 0.964 1
Sm6 0.180 0.500 0.676 1
Sm7 0.180 0.500 0.824 1
P1 0.000 0.500 0.000 1
P2 0.000 0.500 0.500 1
P3 0.046 0.000 0.647 1
P4 0.046 0.000 0.853 1
P5 0.227 0.000 0.075 1
P6 0.227 0.000 0.425 1
S1 0.201 0.500 0.250 1
```

***

This entry pairs a crystal structure of Ca2BeH5 with its calculated powder diffraction line list. Radiation: Cu Ka. Structure: the GGA-PBE geometry in Alexandria.
Intensities are scaled so that the largest is 100.

Peak list (12 most intense, 2θ from 10° to 90°, sorted by position)
hkl 1 1 0, 25.69 deg, rel. 100.0
hkl 0 0 2, 26.51 deg, rel. 42.1
hkl 2 0 0, 36.65 deg, rel. 47.9
hkl 1 1 2, 37.25 deg, rel. 97.3
hkl 2 0 2, 45.80 deg, rel. 45.3
hkl 2 2 0, 52.80 deg, rel. 18.2
hkl 3 1 0, 59.62 deg, rel. 16.2
hkl 2 2 2, 60.04 deg, rel. 15.2
hkl 1 1 4, 61.27 deg, rel. 14.8
hkl 3 1 2, 66.39 deg, rel. 30.6
hkl 2 0 4, 67.55 deg, rel. 14.1
hkl 3 1 4, 85.11 deg, rel. 10.7

Structure:
```
data_Ca2BeH5
_cell_length_a 4.904
_cell_length_b 4.904
_cell_length_c 6.725
_cell_angle_alpha 90.00
_cell_angle_beta 90.00
_cell_angle_gamma 90.00
_symmetry_space_group_name_H-M 'I 4 m m'
_symmetry_Int_Tables_number 107
_symmetry_space_group_name_Hall 'I 4 -2'
loop_
_atom_site_label
_atom_site_fract_x
_atom_site_fract_y
_atom_site_fract_z
_atom_site_occupancy
Ca1 0.000 0.500 0.000 1
Be1 0.000 0.000 0.246 1
H1 0.000 0.000 0.022 1
H2 0.231 0.231 0.260 1
```

***

This entry pairs a crystal structure of SbPd4Au2 with its calculated powder diffraction line list. Radiation: Cu Ka. Structure: the GGA-PBE geometry in Alexandria.
Intensities are scaled so that the largest is 100.

Peak list (12 most intense, 2θ from 10° to 90°, sorted by position)
hkl 2 -2 0, 34.48 deg, rel. 78.9
hkl 1 2 -1, 36.27 deg, rel. 55.2
hkl 1 1 1, 36.97 deg, rel. 56.4
hkl 2 -2 1, 37.23 deg, rel. 99.3
hkl -2 1 2, 37.90 deg, rel. 70.0
hkl 0 1 2, 38.07 deg, rel. 52.8
hkl 1 1 -3, 38.19 deg, rel. 51.3
hkl 1 0 2, 38.91 deg, rel. 55.0
hkl 0 2 1, 39.05 deg, rel. 50.5
hkl 2 1 -1, 39.52 deg, rel. 100.0
hkl 0 2 -3, 39.86 deg, rel. 78.9
hkl 0 3 -2, 41.42 deg, rel. 57.2

Structure:
```
data_SbPd4Au2
_cell_length_a 5.891
_cell_length_b 7.067
_cell_length_c 7.228
_cell_angle_alpha 110.19
_cell_angle_beta 102.81
_cell_angle_gamma 109.42
_symmetry_space_group_name_H-M 'P 1'
_symmetry_Int_Tables_number 1
loop_
_symmetry_equiv_pos_as_xyz
'x,y,z'
loop_
_atom_site_label
_atom_site_fract_x
_atom_site_fract_y
_atom_site_fract_z
_atom_site_occupancy
Sb1 0.000 0.000 0.000 1
Sb2 0.337 0.539 0.828 1
Pd1 0.117 0.770 0.700 1
Pd2 0.160 0.279 0.410 1
Pd3 0.353 0.874 0.152 1
Pd4 0.385 0.058 0.569 1
Pd5 0.396 0.422 0.140 1
Pd6 0.570 0.729 0.611 1
Pd7 0.792 0.539 0.883 1
Pd8 0.928 0.176 0.725 1
Au1 0.062 0.579 0.278 1
Au2 0.622 0.150 0.988 1
Au3 0.697 0.335 0.437 1
Au4 0.811 0.851 0.329 1
```

***

This entry pairs a crystal structure of Tl16GaPb12 with its calculated powder diffraction line list. Radiation: Cu Ka. Structure: the GGA-PBE geometry in Alexandria.
Intensities are scaled so that the largest is 100.

Peak list (12 most intense, 2θ from 10° to 90°, sorted by position)
hkl 0 4 2, 29.09 deg, rel. 18.0
hkl 1 5 1, 30.75 deg, rel. 49.2
hkl 1 3 2, 30.90 deg, rel. 100.0
hkl 4 0 -1, 31.04 deg, rel. 92.8
hkl 4 0 -3, 31.13 deg, rel. 59.6
hkl 2 6 -1, 34.12 deg, rel. 31.4
hkl 3 5 -2, 34.27 deg, rel. 33.8
hkl 3 1 -4, 34.64 deg, rel. 23.8
hkl 3 3 1, 37.39 deg, rel. 15.5
hkl 1 9 2, 54.76 deg, rel. 16.8
hkl 2 8 -4, 54.99 deg, rel. 16.1
hkl 1 5 4, 55.11 deg, rel. 14.3

Structure:
```
data_Tl16GaPb12
_cell_length_a 12.207
_cell_length_b 17.485
_cell_length_c 10.515
_cell_angle_alpha 90.00
_cell_angle_beta 124.93
_cell_angle_gamma 90.00
_symmetry_space_group_name_H-M 'C 1 m 1'
_symmetry_Int_Tables_number 8
loop_
_symmetry_equiv_pos_as_xyz
'x,y,z'
'x,-y,z'
'x+1/2,y+1/2,z'
'x+1/2,-y+1/2,z'
loop_
_atom_site_label
_atom_site_fract_x
_atom_site_fract_y
_atom_site_fract_z
_atom_site_occupancy
Tl1 0.000 0.000 0.000 1
Tl2 0.007 0.297 0.665 1
Tl3 0.034 0.359 0.348 1
Tl4 0.085 0.500 0.631 1
Tl5 0.194 0.204 0.042 1
Tl6 0.317 0.327 0.357 1
Tl7 0.333 0.345 0.756 1
Tl8 0.342 0.000 0.704 1
Tl9 0.426 0.158 0.947 1
Tl10 0.488 0.500 0.349 1
Ga1 0.299 0.000 0.065 1
Pb1 0.094 0.094 0.739 1
Pb2 0.096 0.500 0.160 1
Pb3 0.179 0.187 0.544 1
Pb4 0.208 0.406 0.978 1
Pb5 0.273 0.091 0.347 1
Pb6 0.303 0.500 0.534 1
Pb7 0.485 0.315 0.162 1
```